Record 1
Starting from a GGA-PBE-relaxed structure, the X-ray powder pattern of Ho2Pu2Rh15 was simulated for Cu Kα, 1.54184 Å.
Kinematic intensities with the Lorentz-polarization factor, no thermal factor.

Atomic structure:
```
19
Lattice="4.557 2.631 4.484 -4.557 2.631 4.484 0.000 -5.262 4.484" Properties=species:S:1:pos:R:3 pbc="T T T"
Ho 0.000 0.000 1.480
Ho 0.000 0.000 11.972
Pu 0.000 0.000 4.851
Pu 0.000 0.000 8.602
Rh -4.557 0.000 6.726
Rh -1.415 -2.811 4.484
Rh -2.279 1.316 2.242
Rh -3.142 0.180 4.484
Rh -2.209 -1.275 6.564
Rh 1.415 -2.811 4.484
Rh -1.727 2.631 4.484
Rh 0.000 -2.551 6.888
Rh -2.209 1.275 6.888
Rh 2.279 1.316 2.242
Rh 2.209 -1.275 6.564
Rh 0.000 2.551 6.564
Rh 3.142 0.180 4.484
Rh 1.727 2.631 4.484
Rh 2.209 1.275 6.888
```

Most intense lines, 10 to 90 degrees two-theta, low angle first:
2θ/deg  d (Å)  I_rel
34.1  2.631  65
35.1  2.560  51
39.6  2.279  78
39.7  2.269  100
40.4  2.232  42
44.6  2.031  50



Record 2
Starting from a GGA-PBE-relaxed structure, the X-ray powder pattern of Ti3AlSb was simulated for Cu Kα, 1.54184 Å.
Kinematic intensities with the Lorentz-polarization factor, no thermal factor.

Atomic structure:
```
20
Lattice="4.699 0.000 0.000 0.000 7.752 0.000 0.000 0.000 10.372" Properties=species:S:1:pos:R:3 pbc="T T T"
Ti 0.004 0.504 1.804
Ti 0.004 3.372 1.804
Ti 0.010 5.814 3.179
Ti 2.340 1.938 8.365
Ti 2.345 4.380 6.990
Ti 2.345 7.248 6.990
Ti 2.354 0.504 3.382
Ti 2.354 3.372 3.382
Ti 2.360 5.814 2.007
Ti 4.689 1.938 7.194
Ti 4.695 4.380 8.568
Ti 4.695 7.248 8.568
Al 0.010 5.814 0.486
Al 2.340 1.938 5.673
Al 2.359 5.814 4.700
Al 4.690 1.938 9.886
Sb 0.000 0.000 5.186
Sb 0.000 3.876 5.186
Sb 2.350 0.000 0.000
Sb 2.350 3.876 0.000
```

Most intense lines, 10 to 90 degrees two-theta, low angle first:
2θ/deg  d (Å)  I_rel
20.8  4.280  20
22.9  3.876  22
31.1  2.873  34
32.1  2.785  38
38.3  2.350  40
39.9  2.262  100



Record 3
Starting from a GGA-PBE-relaxed structure, the X-ray powder pattern of Pr4SmY2Mg was simulated for Cu Kα, 1.54184 Å.
Kinematic intensities with the Lorentz-polarization factor, no thermal factor.

Atomic structure:
```
8
Lattice="5.835 0.000 0.000 0.000 5.844 0.000 0.000 0.000 7.854" Properties=species:S:1:pos:R:3 pbc="T T T"
Pr 0.000 0.000 1.847
Pr 0.000 0.000 6.007
Pr 2.918 2.922 1.858
Pr 2.918 2.922 5.996
Sm 0.000 2.922 3.927
Y 0.000 2.922 0.000
Y 2.918 0.000 3.927
Mg 2.918 0.000 0.000
```

Most intense lines, 10 to 90 degrees two-theta, low angle first:
2θ/deg  d (Å)  I_rel
30.6  2.920  55
31.4  2.846  100
43.9  2.064  20
54.9  1.671  41
56.5  1.629  18
65.6  1.423  11



> Which formula does entry 2 have?

Ti3AlSb